No. 1
Starting from the PBE geometry in Alexandria, the PXRD pattern of MgBeAg4 was computed for Cu Kα (λ = 1.5418 Å).
Neutral-atom scattering factors, no anomalous dispersion.

Most intense lines, 10 to 90 degrees two-theta, by angle:
2theta	I (rel.)
19.99	100
32.93	1
38.82	82
40.62	79
47.26	32
51.80	23
62.76	25
69.07	26
72.72	16
82.16	9
83.32	27
87.94	7

Structure:
```
data_MgBeAg4
_cell_length_a 7.693
_cell_length_b 7.693
_cell_length_c 7.693
_cell_angle_alpha 90.00
_cell_angle_beta 90.00
_cell_angle_gamma 90.00
_space_group_name_H-M_alt 'F -4 3 m'
_space_group_IT_number 216
_space_group_name_Hall 'F -4 2 3'
loop_
_atom_site_label
_atom_site_fract_x
_atom_site_fract_y
_atom_site_fract_z
Mg1 0.000 0.000 0.000
Be1 0.250 0.250 0.250
Ag1 0.125 0.125 0.625
```

No. 2
Starting from the PBE geometry in Alexandria, the PXRD pattern of MgBe2Ag was computed for Cu Kα (λ = 1.5418 Å).
Neutral-atom scattering factors, no anomalous dispersion.

Most intense lines, 10 to 90 degrees two-theta, by angle:
2theta	I (rel.)
17.55	84
21.89	100
28.19	50
34.12	17
34.41	33
35.53	30
40.90	17
41.16	54
42.12	51
42.46	25
44.63	21
48.28	36

Structure:
```
data_MgBe2Ag
_cell_length_a 2.710
_cell_length_b 4.060
_cell_length_c 5.211
_cell_angle_alpha 90.00
_cell_angle_beta 104.12
_cell_angle_gamma 90.00
_space_group_name_H-M_alt 'P 1 2/m 1'
_space_group_IT_number 10
loop_
_space_group_symop_operation_xyz
'x,y,z'
'-x,-y,-z'
'-x,y,-z'
'x,-y,z'
loop_
_atom_site_label
_atom_site_fract_x
_atom_site_fract_y
_atom_site_fract_z
Mg1 0.000 0.000 0.000
Be1 0.296 0.500 0.729
Ag1 0.500 0.000 0.500
```

No. 3
Starting from the PBE geometry in Alexandria, the PXRD pattern of Mg2Be2AgPd5 was computed for Cu Kα (λ = 1.5418 Å).
Neutral-atom scattering factors, no anomalous dispersion.

Most intense lines, 10 to 90 degrees two-theta, by angle:
2theta	I (rel.)
18.45	24
20.65	25
27.64	39
33.60	30
34.75	31
38.46	34
38.60	48
40.77	100
42.01	50
44.04	37
48.13	27
75.91	36

Structure:
```
data_Mg2Be2AgPd5
_cell_length_a 9.618
_cell_length_b 9.618
_cell_length_c 3.227
_cell_angle_alpha 90.00
_cell_angle_beta 90.00
_cell_angle_gamma 90.00
_space_group_name_H-M_alt 'P 4/m b m'
_space_group_IT_number 127
_space_group_name_Hall '-P 4 2ab'
loop_
_atom_site_label
_atom_site_fract_x
_atom_site_fract_y
_atom_site_fract_z
Mg1 0.176 0.324 0.000
Be1 0.125 0.625 0.000
Ag1 0.000 0.000 0.000
Pd1 0.000 0.500 0.500
Pd2 0.072 0.782 0.500
```

No. 4
Starting from the PBE geometry in Alexandria, the PXRD pattern of MnBe4Ag was computed for Cu Kα (λ = 1.5418 Å).
Neutral-atom scattering factors, no anomalous dispersion.

Most intense lines, 10 to 90 degrees two-theta, by angle:
2theta	I (rel.)
24.57	100
28.44	13
40.66	86
48.08	68
50.36	4
58.85	10
64.74	19
66.64	4
73.98	26
79.32	20
88.02	11

Structure:
```
data_MnBe4Ag
_cell_length_a 6.277
_cell_length_b 6.277
_cell_length_c 6.277
_cell_angle_alpha 90.00
_cell_angle_beta 90.00
_cell_angle_gamma 90.00
_space_group_name_H-M_alt 'F -4 3 m'
_space_group_IT_number 216
_space_group_name_Hall 'F -4 2 3'
loop_
_atom_site_label
_atom_site_fract_x
_atom_site_fract_y
_atom_site_fract_z
Mn1 0.000 0.000 0.000
Be1 0.127 0.127 0.627
Ag1 0.250 0.250 0.250
```

No. 5
Starting from the PBE geometry in Alexandria, the PXRD pattern of BeAgN was computed for Cu Kα (λ = 1.5418 Å).
Neutral-atom scattering factors, no anomalous dispersion.

Most intense lines, 10 to 90 degrees two-theta, by angle:
2theta	I (rel.)
10.52	100
31.92	20
35.31	28
37.92	21
38.14	39
39.26	25
40.28	16
43.04	24
45.33	24
46.61	10
60.25	9
63.40	10

Structure:
```
data_BeAgN
_cell_length_a 5.067
_cell_length_b 2.965
_cell_length_c 8.627
_cell_angle_alpha 90.00
_cell_angle_beta 102.86
_cell_angle_gamma 90.00
_space_group_name_H-M_alt 'C 1 2 1'
_space_group_IT_number 5
loop_
_space_group_symop_operation_xyz
'x,y,z'
'-x,y,-z'
'x+1/2,y+1/2,z'
'-x+1/2,y+1/2,-z'
loop_
_atom_site_label
_atom_site_fract_x
_atom_site_fract_y
_atom_site_fract_z
Be1 0.136 0.000 0.407
Ag1 0.109 0.358 0.860
N1 0.215 0.009 0.628
```

No. 6
Starting from the PBE geometry in Alexandria, the PXRD pattern of NaBeAg was computed for Cu Kα (λ = 1.5418 Å).
Neutral-atom scattering factors, no anomalous dispersion.

Most intense lines, 10 to 90 degrees two-theta, by angle:
2theta	I (rel.)
16.55	100
27.06	73
30.37	27
30.61	27
33.45	35
36.13	48
38.56	20
39.13	19
39.39	50
42.81	17
52.31	18
52.90	28

Structure:
```
data_NaBeAg
_cell_length_a 3.048
_cell_length_b 3.462
_cell_length_c 5.811
_cell_angle_alpha 107.25
_cell_angle_beta 104.42
_cell_angle_gamma 90.01
_space_group_name_H-M_alt 'P 1'
_space_group_IT_number 1
loop_
_space_group_symop_operation_xyz
'x,y,z'
loop_
_atom_site_label
_atom_site_fract_x
_atom_site_fract_y
_atom_site_fract_z
Na1 0.000 0.000 0.000
Be1 0.268 0.273 0.545
Ag1 0.719 0.722 0.443
```

No. 7
Starting from the PBE geometry in Alexandria, the PXRD pattern of PaBeAg2O6 was computed for Cu Kα (λ = 1.5418 Å).
Neutral-atom scattering factors, no anomalous dispersion.

Most intense lines, 10 to 90 degrees two-theta, by angle:
2theta	I (rel.)
16.10	96
17.74	39
20.52	52
20.76	100
23.94	27
24.15	55
31.18	49
32.56	75
32.96	65
34.04	40
40.51	74
47.50	27

Structure:
```
data_PaBeAg2O6
_cell_length_a 5.268
_cell_length_b 5.628
_cell_length_c 6.075
_cell_angle_alpha 78.40
_cell_angle_beta 64.99
_cell_angle_gamma 62.66
_space_group_name_H-M_alt 'P 1'
_space_group_IT_number 1
loop_
_space_group_symop_operation_xyz
'x,y,z'
loop_
_atom_site_label
_atom_site_fract_x
_atom_site_fract_y
_atom_site_fract_z
Pa1 0.000 0.000 0.000
Be1 0.405 0.387 0.737
Ag1 0.141 0.222 0.449
Ag2 0.680 0.653 0.978
O1 0.122 0.671 0.776
O2 0.240 0.684 0.182
O3 0.350 0.145 0.706
O4 0.556 0.989 0.182
O5 0.717 0.344 0.762
O6 0.913 0.284 0.228
```

No. 8
Starting from the PBE geometry in Alexandria, the PXRD pattern of PuBe2AgO6 was computed for Cu Kα (λ = 1.5418 Å).
Neutral-atom scattering factors, no anomalous dispersion.

Most intense lines, 10 to 90 degrees two-theta, by angle:
2theta	I (rel.)
18.61	100
19.06	83
24.30	25
26.73	25
28.13	32
33.28	29
33.38	20
34.92	31
36.65	24
40.08	39
40.61	22
49.76	20

Structure:
```
data_PuBe2AgO6
_cell_length_a 10.169
_cell_length_b 9.336
_cell_length_c 5.480
_cell_angle_alpha 90.00
_cell_angle_beta 110.32
_cell_angle_gamma 90.00
_space_group_name_H-M_alt 'C 1 2/c 1'
_space_group_IT_number 15
loop_
_space_group_symop_operation_xyz
'x,y,z'
'-x,-y,-z'
'-x,y,-z+1/2'
'x,-y,z+1/2'
'x+1/2,y+1/2,z'
'-x+1/2,-y+1/2,-z'
'-x+1/2,y+1/2,-z+1/2'
'x+1/2,-y+1/2,z+1/2'
loop_
_atom_site_label
_atom_site_fract_x
_atom_site_fract_y
_atom_site_fract_z
Pu1 0.000 0.217 0.250
Be1 0.201 0.067 0.638
Ag1 0.000 0.425 0.750
O1 0.089 0.210 0.616
O2 0.140 0.375 0.224
O3 0.157 0.050 0.316
```